This entry pairs a crystal structure of Li2VO2F with its theoretical X-ray powder pattern. Radiation: λ = 1.5418 Å (Cu Kα). Structure: DFT lattice parameters and positions (GGA+U).
No peak broadening, texture or thermal motion is included.

Main lines, most intense first (2θ from 5° to 70°):
2θ (°)  d (Å)  I_rel  hkl
15.3  5.806  100  0 0 1
43.2  2.096  97  1 1 -2
62.5  1.486  52  7 1 -2
42.9  2.107  50  6 0 0
23.0  3.859  50  2 0 1
14.0  6.321  34  2 0 0
34.1  2.627  23  1 1 -1
28.9  3.088  22  4 0 -1
38.5  2.341  15  3 1 -1
30.8  2.902  13  2 0 -2

Cell lengths 12.985, 2.947, 5.964 Å; angles 90.00, 103.22, 90.00 degrees
Space group C2/m (No. 12)
Symmetry-distinct sites (fractional):
Li 0.000 0.000 0.226 x4
Li 0.167 0.500 0.072 x4
V 0.170 0.500 0.592 x4
O 0.163 0.000 0.813 x4
O 0.166 0.000 0.349 x4
F 0.000 0.500 0.000 x2
F 0.000 0.500 0.500 x2


This entry pairs a crystal structure of LiVOF3 with its theoretical X-ray powder pattern. Radiation: λ = 1.5418 Å (Cu Kα). Structure: DFT lattice parameters and positions (GGA+U).
No peak broadening, texture or thermal motion is included.

Main lines, most intense first (2θ from 5° to 70°):
2θ (°)  d (Å)  I_rel  hkl
22.4  3.960  100  0 2 1
14.1  6.262  89  0 1 1
40.8  2.214  83  0 4 0
25.7  3.461  75  2 0 1
27.7  3.224  52  2 1 1
65.1  1.433  30  4 4 0
48.4  1.880  24  4 0 0
59.0  1.565  20  0 4 4
58.5  1.577  15  2 5 1
32.0  2.800  12  0 1 3

Cell lengths 7.521, 8.848, 8.864 Å; angles 90.00, 90.00, 90.00 degrees
Space group P2_12_12_1 (No. 19)
Symmetry-distinct sites (fractional):
Li 0.000 0.249 0.001 x4
Li 0.126 0.600 0.850 x4
V 0.143 0.374 0.623 x4
V 0.145 0.119 0.368 x4
O 0.129 0.860 0.875 x4
O 0.132 0.626 0.110 x4
F 0.108 0.135 0.160 x4
F 0.110 0.591 0.628 x4
F 0.118 0.147 0.601 x4
F 0.118 0.909 0.389 x4
F 0.120 0.377 0.840 x4
F 0.123 0.353 0.396 x4